Record 1
This entry pairs a crystal structure of Li4Cr3GaO8 with its theoretical powder diffraction line list. Radiation: Cu Kα X-rays. Structure: a crystal structure in the Materials Project, relaxed with PBE+U.
Neutral-atom scattering factors, no anomalous dispersion.

Largest 8 diffraction maxima, low angle first, 10° ≤ 2θ ≤ 90°:
- 2θ 18.3, intensity 100
- 2θ 35.5, intensity 42
- 2θ 37.1, intensity 18
- 2θ 43.1, intensity 79
- 2θ 47.2, intensity 14
- 2θ 57.0, intensity 16
- 2θ 62.7, intensity 43
- 2θ 65.9, intensity 15

Cell and atoms:
a = 5.1405 Å, b = 5.9285 Å, c = 10.6878 Å
α = 73.91°, β = 76.11°, γ = 73.23°
Fractional positions:
Li 0.0000 0.0000 0.0000
Li 0.0000 0.1248 0.2501
Li 0.0000 0.2501 0.4999
Li 0.0000 0.5000 0.0000
Li 0.0000 0.7499 0.5001
Li 0.0000 0.8752 0.7499
Li 0.0005 0.3747 0.7501
Li 0.9995 0.6253 0.2499
Cr 0.5000 0.0623 0.6251
Cr 0.4998 0.1876 0.8752
Cr 0.5000 0.4375 0.3748
Cr 0.5000 0.5625 0.6252
Cr 0.5002 0.8124 0.1248
Cr 0.5000 0.9377 0.3749
Ga 0.5000 0.3127 0.1249
Ga 0.5000 0.6873 0.8751
O 0.2740 0.2763 0.3104
O 0.2744 0.5264 0.8106
O 0.2738 0.6507 0.0604
O 0.2746 0.0259 0.8105
O 0.2746 0.1510 0.0606
O 0.2753 0.9009 0.5604
O 0.2756 0.4011 0.5602
O 0.2756 0.7761 0.3102
O 0.7244 0.2239 0.6898
O 0.7244 0.5989 0.4398
O 0.7247 0.0991 0.4396
O 0.7254 0.8490 0.9394
O 0.7254 0.9741 0.1895
O 0.7262 0.3493 0.9396
O 0.7256 0.4736 0.1894
O 0.7260 0.7237 0.6896

***

Record 2
This entry pairs a crystal structure of Li9Mn2Co5O16 with its theoretical powder diffraction line list. Radiation: Cu Kα X-rays. Structure: a crystal structure in the Materials Project, relaxed with PBE+U.
Neutral-atom scattering factors, no anomalous dispersion.

Largest 8 diffraction maxima, low angle first, 10° ≤ 2θ ≤ 90°:
- 2θ 18.3, intensity 100
- 2θ 35.5, intensity 15
- 2θ 35.8, intensity 14
- 2θ 42.8, intensity 30
- 2θ 43.5, intensity 28
- 2θ 44.3, intensity 26
- 2θ 62.5, intensity 16
- 2θ 64.2, intensity 15

Cell and atoms:
a = 2.9031 Å, b = 5.1098 Å, c = 19.4178 Å
α = 93.03°, β = 93.03°, γ = 91.64°
Fractional positions:
Li 0.0000 0.0000 0.0000
Li 0.0481 0.6891 0.1170
Li 0.1894 0.0594 0.3778
Li 0.3099 0.4415 0.6272
Li 0.4369 0.8316 0.8811
Li 0.5585 0.1681 0.1152
Li 0.6888 0.5715 0.3775
Li 0.8125 0.9352 0.6261
Li 0.9470 0.3182 0.8779
Mn 0.1242 0.3769 0.2502
Mn 0.5003 0.5017 0.0000
Co 0.2515 0.7516 0.5001
Co 0.3759 0.1274 0.7504
Co 0.6231 0.8767 0.2490
Co 0.7491 0.2522 0.5007
Co 0.8754 0.6280 0.7506
O 0.0188 0.3607 0.0558
O 0.0934 0.0552 0.1940
O 0.1551 0.7023 0.3069
O 0.2216 0.4165 0.4440
O 0.2760 0.0849 0.5554
O 0.3316 0.7755 0.6917
O 0.4216 0.4817 0.8065
O 0.4684 0.1886 0.9419
O 0.5328 0.8165 0.0598
O 0.6106 0.5140 0.1960
O 0.6398 0.2370 0.3066
O 0.6859 0.9114 0.4413
O 0.8143 0.5943 0.5572
O 0.8293 0.2739 0.6911
O 0.9222 0.9805 0.8078
O 0.9838 0.6434 0.9449

***

Record 3
This entry pairs a crystal structure of NaCaZrWO6 with its theoretical powder diffraction line list. Radiation: Cu Kα X-rays. Structure: a crystal structure in the Materials Project, relaxed with PBE+U.
Neutral-atom scattering factors, no anomalous dispersion.

Largest 8 diffraction maxima, low angle first, 10° ≤ 2θ ≤ 90°:
- 2θ 18.9, intensity 20
- 2θ 21.8, intensity 75
- 2θ 31.1, intensity 100
- 2θ 44.5, intensity 36
- 2θ 50.1, intensity 32
- 2θ 55.3, intensity 40
- 2θ 64.8, intensity 22
- 2θ 73.6, intensity 17

Cell and atoms:
a = 5.7538 Å, b = 5.7538 Å, c = 5.7538 Å
α = 60.00°, β = 60.00°, γ = 60.00°
Fractional positions:
Na 0.0000 0.0000 0.0000
Ca 0.5000 0.5000 0.5000
Zr 0.7500 0.7500 0.7500
W 0.2500 0.2500 0.2500
O 0.0070 0.0070 0.4930
O 0.0070 0.4930 0.0070
O 0.0070 0.4930 0.4930
O 0.4930 0.0070 0.0070
O 0.4930 0.0070 0.4930
O 0.4930 0.4930 0.0070

***

Record 4
This entry pairs a crystal structure of Er5MgMo2O12 with its theoretical powder diffraction line list. Radiation: Cu Kα X-rays. Structure: a crystal structure in the Materials Project, relaxed with PBE+U.
Neutral-atom scattering factors, no anomalous dispersion.

Largest 8 diffraction maxima, low angle first, 10° ≤ 2θ ≤ 90°:
- 2θ 27.0, intensity 100
- 2θ 28.3, intensity 94
- 2θ 30.4, intensity 22
- 2θ 32.8, intensity 31
- 2θ 32.9, intensity 48
- 2θ 39.7, intensity 20
- 2θ 45.4, intensity 39
- 2θ 55.2, intensity 20

Cell and atoms:
a = 5.8879 Å, b = 6.9201 Å, c = 7.4719 Å
α = 105.45°, β = 90.00°, γ = 115.15°
Fractional positions:
Er 0.0000 0.0000 0.0000
Er 0.0006 0.0012 0.4795
Er 0.2995 0.5998 0.1257
Er 0.6187 0.2377 0.2764
Er 0.6283 0.2571 0.8414
Mg 0.4763 0.9521 0.4968
Mo 0.0626 0.6018 0.6391
Mo 0.5390 0.6017 0.6390
O 0.2182 0.9152 0.2268
O 0.2328 0.9561 0.7205
O 0.2922 0.5861 0.8370
O 0.3091 0.6198 0.4342
O 0.3958 0.2986 0.0701
O 0.4041 0.2513 0.5429
O 0.6960 0.9150 0.2273
O 0.7227 0.9562 0.7203
O 0.8078 0.6150 0.4506
O 0.8089 0.6173 0.8376
O 0.8478 0.2518 0.5429
O 0.9023 0.2984 0.0701

***

Record 5
This entry pairs a crystal structure of Li5V3CrO8 with its theoretical powder diffraction line list. Radiation: Cu Kα X-rays. Structure: a crystal structure in the Materials Project, relaxed with PBE+U.
Neutral-atom scattering factors, no anomalous dispersion.

Largest 8 diffraction maxima, low angle first, 10° ≤ 2θ ≤ 90°:
- 2θ 17.8, intensity 42
- 2θ 19.5, intensity 93
- 2θ 35.3, intensity 51
- 2θ 36.2, intensity 56
- 2θ 39.6, intensity 45
- 2θ 44.7, intensity 100
- 2θ 58.8, intensity 44
- 2θ 62.8, intensity 49

Cell and atoms:
a = 5.9145 Å, b = 5.9145 Å, c = 9.9452 Å
α = 90.00°, β = 90.00°, γ = 120.00°
Fractional positions:
Li 0.0000 0.0000 0.0000
Li 0.0000 0.0000 0.5000
Li 0.1964 0.3928 0.4308
Li 0.1964 0.8036 0.4308
Li 0.3333 0.6667 0.2104
Li 0.3928 0.1964 0.9308
Li 0.6072 0.8036 0.4308
Li 0.6667 0.3333 0.7104
Li 0.8036 0.1964 0.9308
Li 0.8036 0.6072 0.9308
V 0.1699 0.3399 0.6982
V 0.1699 0.8301 0.6982
V 0.3399 0.1699 0.1982
V 0.6601 0.8301 0.6982
V 0.8301 0.1699 0.1982
V 0.8301 0.6601 0.1982
Cr 0.3333 0.6667 0.9593
Cr 0.6667 0.3333 0.4593
O 0.0000 0.0000 0.3100
O 0.0000 0.0000 0.8100
O 0.0215 0.5107 0.8258
O 0.1654 0.3308 0.0756
O 0.1654 0.8346 0.0756
O 0.3308 0.1654 0.5756
O 0.3333 0.6667 0.5767
O 0.4893 0.5107 0.8258
O 0.4893 0.9785 0.8258
O 0.5107 0.0215 0.3258
O 0.5107 0.4893 0.3258
O 0.6667 0.3333 0.0767
O 0.6692 0.8346 0.0756
O 0.8346 0.1654 0.5756
O 0.8346 0.6692 0.5756
O 0.9785 0.4893 0.3258

***

Record 6
This entry pairs a crystal structure of Li5Mn2P2C2O14 with its theoretical powder diffraction line list. Radiation: Cu Kα X-rays. Structure: a crystal structure in the Materials Project, relaxed with PBE+U.
Neutral-atom scattering factors, no anomalous dispersion.

Largest 8 diffraction maxima, low angle first, 10° ≤ 2θ ≤ 90°:
- 2θ 10.5, intensity 100
- 2θ 17.3, intensity 28
- 2θ 19.8, intensity 30
- 2θ 21.0, intensity 45
- 2θ 25.2, intensity 27
- 2θ 26.5, intensity 36
- 2θ 27.7, intensity 89
- 2θ 35.4, intensity 27

Cell and atoms:
a = 8.1981 Å, b = 8.2155 Å, c = 9.5951 Å
α = 106.99°, β = 106.97°, γ = 103.37°
Fractional positions:
Li 0.0049 0.0158 0.2526
Li 0.2233 0.7411 0.7443
Li 0.2510 0.7330 0.2529
Li 0.4481 0.2037 0.9080
Li 0.4896 0.5131 0.2585
Li 0.5104 0.4869 0.7415
Li 0.5519 0.7963 0.0920
Li 0.7490 0.2670 0.7471
Li 0.7767 0.2589 0.2557
Li 0.9951 0.9842 0.7474
Mn 0.0649 0.3122 0.6579
Mn 0.4443 0.1940 0.3394
Mn 0.5557 0.8060 0.6606
Mn 0.9351 0.6878 0.3421
P 0.1992 0.4481 0.4163
P 0.3100 0.0572 0.5832
P 0.6900 0.9428 0.4168
P 0.8008 0.5519 0.5837
C 0.2525 0.5054 0.9557
C 0.2537 0.0078 0.0397
C 0.7463 0.9922 0.9603
C 0.7475 0.4946 0.0443
O 0.0541 0.2993 0.4292
O 0.1129 0.5501 0.3243
O 0.1163 0.3634 0.9112
O 0.1492 0.9027 0.8984
O 0.1737 0.9281 0.4156
O 0.2194 0.1490 0.6892
O 0.2235 0.9816 0.1619
O 0.2968 0.5526 0.8483
O 0.3084 0.3633 0.3271
O 0.3295 0.5823 0.5893
O 0.3547 0.6064 0.1039
O 0.3968 0.1436 0.0755
O 0.3998 0.9574 0.6830
O 0.4586 0.2034 0.5709
O 0.5414 0.7966 0.4291
O 0.6002 0.0426 0.3170
O 0.6032 0.8564 0.9245
O 0.6453 0.3936 0.8961
O 0.6705 0.4177 0.4107
O 0.6916 0.6367 0.6729
O 0.7032 0.4474 0.1517
O 0.7765 0.0184 0.8381
O 0.7806 0.8510 0.3108
O 0.8263 0.0719 0.5844
O 0.8508 0.0973 0.1016
O 0.8837 0.6366 0.0888
O 0.8871 0.4499 0.6757
O 0.9459 0.7007 0.5708

***

Record 7
This entry pairs a crystal structure of PrCr2O6 with its theoretical powder diffraction line list. Radiation: Cu Kα X-rays. Structure: a crystal structure in the Materials Project, relaxed with PBE+U.
Neutral-atom scattering factors, no anomalous dispersion.

Largest 8 diffraction maxima, low angle first, 10° ≤ 2θ ≤ 90°:
- 2θ 20.3, intensity 100
- 2θ 33.5, intensity 65
- 2θ 33.5, intensity 33
- 2θ 39.5, intensity 35
- 2θ 39.6, intensity 18
- 2θ 48.0, intensity 25
- 2θ 59.8, intensity 17
- 2θ 59.9, intensity 17

Cell and atoms:
a = 5.3533 Å, b = 5.3621 Å, c = 9.2427 Å
α = 90.00°, β = 125.25°, γ = 90.00°
Fractional positions:
Pr 0.0000 0.2181 0.0000
Pr 0.0000 0.7819 0.5000
Cr 0.2384 0.2612 0.7459
Cr 0.2384 0.7388 0.2459
Cr 0.7413 0.2562 0.2506
Cr 0.7413 0.7438 0.7506
O 0.0103 0.4744 0.2213
O 0.0103 0.5256 0.7213
O 0.0665 0.2448 0.4957
O 0.0665 0.7552 0.9957
O 0.4735 0.2565 0.0067
O 0.4735 0.7435 0.5067
O 0.5271 0.0219 0.2772
O 0.5271 0.9781 0.7772
O 0.5718 0.4756 0.7802
O 0.5718 0.5244 0.2802
O 0.9696 0.0189 0.7220
O 0.9696 0.9811 0.2220